No. 1
# Pr4Nd3PuTe8
Calculated powder diffractogram, Cu Kα X-rays. Input: a GGA-PBE-relaxed structure.
Neutral-atom scattering factors, no anomalous dispersion.

Structure:
```
data_Pr4Nd3PuTe8
_chemical_formula_sum 'Pr12 Nd9 Pu3 Te24'
_symmetry_space_group_name_H-M 'R -3 m'
_symmetry_Int_Tables_number 166
_symmetry_space_group_name_Hall '-R 3 2"'
_cell_length_a 9.0108
_cell_length_b 9.0108
_cell_length_c 22.1119
_cell_angle_alpha 90.00
_cell_angle_beta 90.00
_cell_angle_gamma 120.00
loop_
_atom_site_label
_atom_site_fract_x
_atom_site_fract_y
_atom_site_fract_z
_atom_site_occupancy
Pr1 0.0000 0.0000 0.0000 1
Pr2 0.0000 0.5000 0.0000 1
Nd1 0.0000 0.5000 0.5000 1
Pu1 0.0000 0.0000 0.5000 1
Te1 0.0000 0.0000 0.2491 1
Te2 0.0030 0.5015 0.2484 1
```

Top 6 peaks for 15 to 90 degrees two-theta, low angle first:
- d = 3.188 Å, 27.99°, intensity 100, hkl 0 2 4
- d = 2.254 Å, 40.00°, intensity 77, hkl 2 2 0
- d = 1.840 Å, 49.53°, intensity 28, hkl 4 0 4
- d = 1.594 Å, 57.85°, intensity 13, hkl 0 4 8
- d = 1.426 Å, 65.47°, intensity 36, hkl 2 4 4
- d = 1.301 Å, 72.68°, intensity 20, hkl 6 0 0

=====

No. 2
# NdHo6Sc2
Calculated powder diffractogram, Cu Kα X-rays. Input: a GGA-PBE-relaxed structure.
Neutral-atom scattering factors, no anomalous dispersion.

Structure:
```
data_NdHo6Sc2
_chemical_formula_sum 'Nd4 Ho24 Sc8'
_symmetry_space_group_name_H-M 'C 1 2/c 1'
_symmetry_Int_Tables_number 15
_symmetry_space_group_name_Hall '-C 2yc'
_cell_length_a 10.4891
_cell_length_b 9.7696
_cell_length_c 11.9113
_cell_angle_alpha 90.00
_cell_angle_beta 116.07
_cell_angle_gamma 90.00
loop_
_atom_site_label
_atom_site_fract_x
_atom_site_fract_y
_atom_site_fract_z
_atom_site_occupancy
Nd1 0.0000 0.0446 0.2500 1
Ho1 0.0581 0.3005 0.6446 1
Ho2 0.1264 0.3596 0.3956 1
Ho3 0.1595 0.1035 0.0694 1
Sc1 0.1963 0.4132 0.1417 1
```

Top 6 peaks for 15 to 90 degrees two-theta, low angle first:
- d = 3.078 Å, 29.01°, intensity 42, hkl 1 3 0
- d = 2.988 Å, 29.90°, intensity 100, hkl 3 1 -3
- d = 2.973 Å, 30.06°, intensity 81, hkl 2 2 1
- d = 2.851 Å, 31.38°, intensity 68, hkl 1 3 1
- d = 2.810 Å, 31.84°, intensity 69, hkl 1 1 -4
- d = 2.610 Å, 34.36°, intensity 39, hkl 3 1 1